Record 1
The following is a simulated XRD peak list of Hf2Al3C4. It was derived from DFT lattice parameters and positions (PBE), using a wavelength of 1.5418 Å.
Lines closer than 0.1° are merged.

Principal peaks in the range 2θ from 10° to 90°, sorted by position:
- hkl 1 0 2, d = 2.795 Å, I 28
- hkl 0 0 8, d = 2.770 Å, I 17
- hkl 1 0 3, d = 2.690 Å, I 100
- hkl 1 0 5, d = 2.420 Å, I 78
- hkl 1 0 6, d = 2.275 Å, I 21
- hkl 0 0 10, d = 2.216 Å, I 18
- hkl 1 0 7, d = 2.134 Å, I 28
- hkl 1 1 0, d = 1.668 Å, I 33
- hkl 1 0 13, d = 1.468 Å, I 20
- hkl 1 1 10, d = 1.333 Å, I 22

Crystal structure
```
data_Hf2Al3C4
_symmetry_space_group_name_H-M 'P 63/m m c'
_symmetry_Int_Tables_number 194
_symmetry_space_group_name_Hall '-P 6c 2c'
_cell_length_a 3.3353
_cell_length_b 3.3353
_cell_length_c 22.1609
_cell_angle_alpha 90.00
_cell_angle_beta 90.00
_cell_angle_gamma 120.00
loop_
_atom_site_label
_atom_site_type_symbol
_atom_site_fract_x
_atom_site_fract_y
_atom_site_fract_z
Hf1 Hf 0.3333 0.6667 0.0577
Al1 Al 0.0000 0.0000 0.1585
Al2 Al 0.3333 0.6667 0.7500
C1 C 0.0000 0.0000 0.0000
C2 C 0.0000 0.0000 0.2500
C3 C 0.3333 0.6667 0.6268
```



Record 2
The following is a simulated XRD peak list of Hf3Al4C6. It was derived from DFT lattice parameters and positions (PBE), using a wavelength of 1.5418 Å.
Lines closer than 0.1° are merged.

Principal peaks in the range 2θ from 10° to 90°, sorted by position:
- hkl 0 1 5, d = 2.765 Å, I 100
- hkl 0 0 18, d = 2.717 Å, I 25
- hkl 0 1 8, d = 2.607 Å, I 71
- hkl 1 0 10, d = 2.483 Å, I 45
- hkl 0 0 21, d = 2.329 Å, I 19
- hkl 1 0 13, d = 2.288 Å, I 93
- hkl 1 1 0, d = 1.664 Å, I 41
- hkl 0 1 26, d = 1.575 Å, I 27
- hkl 1 1 18, d = 1.419 Å, I 23
- hkl 1 1 21, d = 1.354 Å, I 20

Crystal structure
```
data_Hf3Al4C6
_symmetry_space_group_name_H-M 'R -3 m'
_symmetry_Int_Tables_number 166
_symmetry_space_group_name_Hall '-R 3 2"'
_cell_length_a 3.3287
_cell_length_b 3.3287
_cell_length_c 48.9097
_cell_angle_alpha 90.00
_cell_angle_beta 90.00
_cell_angle_gamma 120.00
loop_
_atom_site_label
_atom_site_type_symbol
_atom_site_fract_x
_atom_site_fract_y
_atom_site_fract_z
Hf1 Hf 0.0000 0.0000 0.0000
Hf2 Hf 0.0000 0.0000 0.3876
Al1 Al 0.0000 0.0000 0.1476
Al2 Al 0.0000 0.0000 0.2323
C1 C 0.0000 0.0000 0.0824
C2 C 0.0000 0.0000 0.1924
C3 C 0.0000 0.0000 0.3059
```



Record 3
The following is a simulated XRD peak list of Hf2Al4C5. It was derived from DFT lattice parameters and positions (PBE), using a wavelength of 1.5418 Å.
Lines closer than 0.1° are merged.

Principal peaks in the range 2θ from 10° to 90°, sorted by position:
- hkl 0 0 12, d = 3.404 Å, I 22
- hkl 1 0 4, d = 2.782 Å, I 100
- hkl 0 0 15, d = 2.724 Å, I 39
- hkl 1 0 7, d = 2.591 Å, I 74
- hkl 0 1 8, d = 2.516 Å, I 48
- hkl 0 1 11, d = 2.281 Å, I 90
- hkl 1 1 0, d = 1.669 Å, I 45
- hkl 1 0 22, d = 1.562 Å, I 27
- hkl 1 1 15, d = 1.423 Å, I 26
- hkl 1 1 18, d = 1.345 Å, I 25

Crystal structure
```
data_Hf2Al4C5
_symmetry_space_group_name_H-M 'R -3 m'
_symmetry_Int_Tables_number 166
_symmetry_space_group_name_Hall '-R 3 2"'
_cell_length_a 3.3386
_cell_length_b 3.3386
_cell_length_c 40.8471
_cell_angle_alpha 90.00
_cell_angle_beta 90.00
_cell_angle_gamma 120.00
loop_
_atom_site_label
_atom_site_type_symbol
_atom_site_fract_x
_atom_site_fract_y
_atom_site_fract_z
Hf1 Hf 0.0000 0.0000 0.1340
Al1 Al 0.0000 0.0000 0.3106
Al2 Al 0.0000 0.0000 0.4115
C1 C 0.0000 0.0000 0.2326
C2 C 0.0000 0.0000 0.3640
C3 C 0.0000 0.0000 0.5000
```